For ScNi6Ge6, a structure optimized by DFT (PBE) gives the theoretical powder diffractogram in this record (Cu Kα, 1.54184 Å).
Peak positions follow from Bragg's law for the DFT cell and can differ from measured ones.

Atomic structure:
```
data_ScNi6Ge6
_chemical_formula_sum 'Sc4 Ni24 Ge24'
_symmetry_space_group_name_H-M 'P 6/m m m'
_symmetry_Int_Tables_number 191
_symmetry_space_group_name_Hall '-P 6 2'
_cell_length_a 10.2187
_cell_length_b 10.2187
_cell_length_c 7.8317
_cell_angle_alpha 90.00
_cell_angle_beta 90.00
_cell_angle_gamma 120.00
loop_
_atom_site_label
_atom_site_type_symbol
_atom_site_fract_x
_atom_site_fract_y
_atom_site_fract_z
Sc1 Sc 0.0000 0.0000 0.0000
Sc2 Sc 0.0000 0.5000 0.5000
Ni1 Ni 0.0000 0.2497 0.2524
Ni2 Ni 0.2499 0.4999 0.2482
Ge1 Ge 0.0000 0.0000 0.3422
Ge2 Ge 0.0000 0.5000 0.1594
Ge3 Ge 0.1661 0.3322 0.0000
Ge4 Ge 0.1679 0.3358 0.5000
Ge5 Ge 0.3333 0.6667 0.0000
Ge6 Ge 0.3333 0.6667 0.5000
```

Peak list (10 most intense, 2θ = 10–90°, by intensity)
hkl 4 0 2, 47.2 deg, I = 100
hkl 2 2 2, 42.2 deg, I = 76
hkl 2 2 0, 35.1 deg, I = 50
hkl 4 0 0, 40.8 deg, I = 47
hkl 2 0 4, 51.0 deg, I = 34
hkl 4 4 0, 74.2 deg, I = 30
hkl 0 0 4, 46.4 deg, I = 26
hkl 2 2 6, 83.1 deg, I = 22
hkl 4 2 4, 74.6 deg, I = 19
hkl 6 0 2, 67.9 deg, I = 17



For TaNbB2Pd2, a structure optimized by DFT (PBE) gives the theoretical powder diffractogram in this record (Cu Kα, 1.54184 Å).
Peak positions follow from Bragg's law for the DFT cell and can differ from measured ones.

Atomic structure:
```
data_TaNbB2Pd2
_chemical_formula_sum 'Ta2 Nb2 B4 Pd4'
_symmetry_space_group_name_H-M 'A m m 2'
_symmetry_Int_Tables_number 38
_cell_length_a 3.114
_cell_length_b 3.413
_cell_length_c 14.306
_cell_angle_alpha 90.00
_cell_angle_beta 90.00
_cell_angle_gamma 90.00
loop_
_symmetry_equiv_pos_as_xyz
'x,y,z'
'-x,-y,z'
'-x,y,z'
'x,-y,z'
'x,y+1/2,z+1/2'
'-x,-y+1/2,z+1/2'
'-x,y+1/2,z+1/2'
'x,-y+1/2,z+1/2'
loop_
_atom_site_label
_atom_site_type_symbol
_atom_site_fract_x
_atom_site_fract_y
_atom_site_fract_z
Ta1 Ta 0.000 0.000 0.000
Nb1 Nb 0.500 0.000 0.180
B1 B 0.000 0.000 0.620
B2 B 0.500 0.000 0.559
Pd1 Pd 0.000 0.000 0.788
Pd2 Pd 0.500 0.000 0.394
```

Peak list (10 most intense, 2θ = 10–90°, by intensity)
hkl 1 1 1, 39.7 deg, I = 100
hkl 0 1 5, 41.2 deg, I = 81
hkl 1 0 4, 38.3 deg, I = 73
hkl 2 1 5, 74.8 deg, I = 27
hkl 1 1 9, 72.2 deg, I = 27
hkl 1 2 4, 67.9 deg, I = 27
hkl 0 1 1, 26.9 deg, I = 24
hkl 0 0 2, 12.4 deg, I = 21
hkl 0 2 0, 53.7 deg, I = 20
hkl 1 0 6, 48.1 deg, I = 18



For ScOs2Au, a structure optimized by DFT (PBE) gives the theoretical powder diffractogram in this record (Cu Kα, 1.54184 Å).
Peak positions follow from Bragg's law for the DFT cell and can differ from measured ones.

Atomic structure:
```
data_ScOs2Au
_chemical_formula_sum 'Sc4 Os8 Au4'
_symmetry_space_group_name_H-M 'F -4 3 m'
_symmetry_Int_Tables_number 216
_symmetry_space_group_name_Hall 'F -4 2 3'
_cell_length_a 6.391
_cell_length_b 6.391
_cell_length_c 6.391
_cell_angle_alpha 90.00
_cell_angle_beta 90.00
_cell_angle_gamma 90.00
loop_
_atom_site_label
_atom_site_type_symbol
_atom_site_fract_x
_atom_site_fract_y
_atom_site_fract_z
Sc1 Sc 0.000 0.000 0.000
Os1 Os 0.000 0.000 0.500
Os2 Os 0.250 0.250 0.250
Au1 Au 0.250 0.250 0.750
```

Peak list (10 most intense, 2θ = 10–90°, by intensity)
hkl 2 2 0, 39.9 deg, I = 100
hkl 4 2 2, 72.4 deg, I = 35
hkl 4 0 0, 57.7 deg, I = 17
hkl 1 1 1, 24.1 deg, I = 13
hkl 4 4 0, 86.1 deg, I = 11
hkl 2 0 0, 27.9 deg, I = 8
hkl 3 1 1, 47.2 deg, I = 7
hkl 4 2 0, 65.3 deg, I = 3
hkl 3 3 1, 63.4 deg, I = 3
hkl 2 2 2, 49.4 deg, I = 2